NiPb2N6O12: simulated powder diffraction line list (Cu Ka), based on DFT lattice parameters and positions (GGA+U).
Intensities are scaled so that the largest is 100.

Atomic structure:
```
data_NiPb2N6O12
_chemical_formula_sum 'Ni4 Pb8 N24 O48'
_space_group_name_H-M_alt 'F m -3 m'
_space_group_IT_number 225
_space_group_name_Hall '-F 4 2 3'
_cell_length_a 10.007
_cell_length_b 10.007
_cell_length_c 10.007
_cell_angle_alpha 90.00
_cell_angle_beta 90.00
_cell_angle_gamma 90.00
loop_
_atom_site_label
_atom_site_type_symbol
_atom_site_fract_x
_atom_site_fract_y
_atom_site_fract_z
Ni1 Ni 0.000 0.000 0.000
Pb1 Pb 0.250 0.250 0.250
N1 N 0.000 0.000 0.206
O1 O 0.000 0.194 0.194
```

The 8 most intense peaks (2θ from 10° to 90°), low angle first:
hkl, 2θ/deg, intensity
2 0 0, 17.73, 89
2 2 0, 25.17, 100
4 0 0, 35.89, 54
4 2 0, 40.30, 57
4 2 2, 44.34, 66
4 4 0, 51.67, 28
6 2 0, 58.32, 27
6 4 2, 70.41, 32